For CaCo6O2F10, a DFT-relaxed cell (GGA+U, Alexandria) gives the calculated powder diffraction line list in this record (λ = 1.5418 Å (Cu Kα)).
Kinematic intensities with the Lorentz-polarization factor, no thermal factor.

Structure:
```
data_CaCo6O2F10
_cell_length_a 5.3822
_cell_length_b 5.6525
_cell_length_c 9.4350
_cell_angle_alpha 85.29
_cell_angle_beta 78.11
_cell_angle_gamma 68.73
_symmetry_space_group_name_H-M 'P 1'
_symmetry_Int_Tables_number 1
_symmetry_space_group_name_Hall 'P 1'
loop_
_atom_site_label
_atom_site_type_symbol
_atom_site_fract_x
_atom_site_fract_y
_atom_site_fract_z
_atom_site_occupancy
Ca1 Ca 0.0000 0.0000 0.0000 1
Co1 Co 0.1498 0.2983 0.5896 1
Co2 Co 0.3884 0.3622 0.9234 1
Co3 Co 0.4006 0.1926 0.2744 1
Co4 Co 0.6339 0.8666 0.7041 1
Co5 Co 0.7077 0.6217 0.1915 1
Co6 Co 0.9756 0.8078 0.3961 1
O1 O 0.7610 0.9319 0.2407 1
O2 O 0.9226 0.6337 0.5801 1
F1 F 0.0116 0.5980 0.0079 1
F2 F 0.1731 0.0318 0.4533 1
F3 F 0.2043 0.2087 0.7999 1
F4 F 0.3318 0.0784 0.0795 1
F5 F 0.3852 0.5614 0.3193 1
F6 F 0.4037 0.6974 0.8335 1
F7 F 0.5568 0.1335 0.5450 1
F8 F 0.6348 0.3801 0.0619 1
F9 F 0.7323 0.0806 0.8283 1
F10 F 0.9993 0.4125 0.2947 1
```

The 8 most intense peaks (10 to 90 degrees two-theta), in order of rising 2θ:
index, Position (°2θ), I/Imax
1 1 0, 19.84, 100
1 0 2, 23.79, 98
1 1 2, 25.11, 54
1 -1 0, 28.89, 65
1 1 -2, 30.21, 78
-1 1 1, 31.55, 48
1 2 1, 32.71, 47
0 1 3, 33.63, 63